(1)
Diffraction record for Be12W. The powder XRD pattern is theoretical, not measured: it uses a cell relaxed with GGA-PBE and Cu Kα, 1.54184 Å.
Peak positions follow from Bragg's law for the DFT cell and can differ from measured ones.

Top 10 peaks for 10 to 90 degrees two-theta, most intense first:
- d 5.088, 17.4 deg, rel. 100, (1 1 0)
- d 3.639, 24.5 deg, rel. 90, (1 0 1)
- d 2.558, 35.1 deg, rel. 79, (2 1 1)
- d 3.598, 24.7 deg, rel. 41, (2 0 0)
- d 1.804, 50.6 deg, rel. 38, (3 2 1)
- d 2.275, 39.6 deg, rel. 29, (3 1 0)
- d 2.085, 43.4 deg, rel. 28, (3 0 1)
- d 1.819, 50.1 deg, rel. 21, (2 0 2)
- d 2.544, 35.3 deg, rel. 19, (2 2 0)
- d 1.547, 59.8 deg, rel. 18, (3 1 2)

Structural model:
```
data_Be12W
_chemical_formula_sum 'Be24 W2'
_cell_length_a 7.196
_cell_length_b 7.196
_cell_length_c 4.218
_cell_angle_alpha 90.00
_cell_angle_beta 90.00
_cell_angle_gamma 90.00
_space_group_name_H-M_alt 'I 4/m m m'
_space_group_IT_number 139
_space_group_name_Hall '-I 4 2'
loop_
_atom_site_label
_atom_site_fract_x
_atom_site_fract_y
_atom_site_fract_z
Be1 0.000 0.212 0.000
Be2 0.000 0.352 0.500
Be3 0.250 0.250 0.250
W1 0.000 0.000 0.500
```

(2)
Diffraction record for BeW5. The powder XRD pattern is theoretical, not measured: it uses a cell relaxed with GGA-PBE and Cu Kα, 1.54184 Å.
Peak positions follow from Bragg's law for the DFT cell and can differ from measured ones.

Top 10 peaks for 10 to 90 degrees two-theta, most intense first:
- d 2.226, 40.5 deg, rel. 100, (1 3 1)
- d 2.189, 41.2 deg, rel. 23, (2 0 0)
- d 2.155, 41.9 deg, rel. 22, (0 6 0)
- d 1.271, 74.7 deg, rel. 17, (3 3 1)
- d 1.257, 75.6 deg, rel. 15, (1 9 1)
- d 1.536, 60.3 deg, rel. 15, (2 6 0)
- d 1.113, 87.7 deg, rel. 12, (2 6 2)
- d 1.615, 57.0 deg, rel. 9, (0 0 2)
- d 1.292, 73.2 deg, rel. 9, (0 6 2)
- d 1.300, 72.8 deg, rel. 9, (2 0 2)

Structural model:
```
data_BeW5
_chemical_formula_sum 'Be2 W10'
_cell_length_a 4.378
_cell_length_b 12.928
_cell_length_c 3.230
_cell_angle_alpha 90.00
_cell_angle_beta 90.00
_cell_angle_gamma 90.00
_space_group_name_H-M_alt 'C m m m'
_space_group_IT_number 65
_space_group_name_Hall '-C 2 2'
loop_
_atom_site_label
_atom_site_fract_x
_atom_site_fract_y
_atom_site_fract_z
Be1 0.000 0.000 0.000
W1 0.000 0.162 0.500
W2 0.000 0.336 0.000
W3 0.000 0.500 0.500
```

(3)
Diffraction record for Be17ZnW. The powder XRD pattern is theoretical, not measured: it uses a cell relaxed with GGA-PBE and Cu Kα, 1.54184 Å.
Peak positions follow from Bragg's law for the DFT cell and can differ from measured ones.

Top 10 peaks for 10 to 90 degrees two-theta, most intense first:
- d 5.454, 16.3 deg, rel. 100, (1 0 1)
- d 3.636, 24.5 deg, rel. 86, (1 1 0)
- d 2.569, 34.9 deg, rel. 53, (1 1 3)
- d 1.818, 50.2 deg, rel. 45, (2 2 0)
- d 2.498, 36.0 deg, rel. 28, (1 0 4)
- d 3.027, 29.5 deg, rel. 26, (0 2 1)
- d 1.792, 51.0 deg, rel. 26, (2 1 4)
- d 2.327, 38.7 deg, rel. 25, (2 1 1)
- d 2.059, 44.0 deg, rel. 24, (0 2 4)
- d 2.101, 43.1 deg, rel. 23, (3 0 0)

Structural model:
```
data_Be17ZnW
_chemical_formula_sum 'Be51 Zn3 W3'
_cell_length_a 7.2767
_cell_length_b 7.2767
_cell_length_c 10.8837
_cell_angle_alpha 90.00
_cell_angle_beta 90.00
_cell_angle_gamma 120.00
_space_group_name_H-M_alt 'R 3 m'
_space_group_IT_number 160
_space_group_name_Hall 'R 3 -2"'
loop_
_atom_site_label
_atom_site_fract_x
_atom_site_fract_y
_atom_site_fract_z
Be1 0.0000 0.0000 0.0556
Be2 0.0000 0.0000 0.2565
Be3 0.0042 0.3089 0.1568
Be4 0.0107 0.5053 0.6498
Be5 0.1677 0.3355 0.6505
Be6 0.1694 0.3388 0.3333
Zn1 0.0000 0.0000 0.5469
W1 0.0000 0.0000 0.8255
```

(4)
Diffraction record for Zr4BeW. The powder XRD pattern is theoretical, not measured: it uses a cell relaxed with GGA-PBE and Cu Kα, 1.54184 Å.
Peak positions follow from Bragg's law for the DFT cell and can differ from measured ones.

Top 10 peaks for 10 to 90 degrees two-theta, most intense first:
- d 2.383, 37.8 deg, rel. 100, (3 1 1)
- d 2.281, 39.5 deg, rel. 42, (2 2 2)
- d 1.521, 60.9 deg, rel. 32, (3 3 3)
- d 4.562, 19.5 deg, rel. 30, (1 1 1)
- d 1.397, 67.0 deg, rel. 24, (4 4 0)
- d 2.794, 32.0 deg, rel. 23, (2 2 0)
- d 3.951, 22.5 deg, rel. 22, (2 0 0)
- d 1.191, 80.6 deg, rel. 15, (6 2 2)
- d 1.767, 51.7 deg, rel. 12, (4 2 0)
- d 1.205, 79.5 deg, rel. 11, (5 3 3)

Structural model:
```
data_Zr4BeW
_chemical_formula_sum 'Zr16 Be4 W4'
_cell_length_a 7.902
_cell_length_b 7.902
_cell_length_c 7.902
_cell_angle_alpha 90.00
_cell_angle_beta 90.00
_cell_angle_gamma 90.00
_space_group_name_H-M_alt 'F -4 3 m'
_space_group_IT_number 216
_space_group_name_Hall 'F -4 2 3'
loop_
_atom_site_label
_atom_site_fract_x
_atom_site_fract_y
_atom_site_fract_z
Zr1 0.123 0.123 0.377
Be1 0.000 0.000 0.000
W1 0.250 0.250 0.750
```

(5)
Diffraction record for YBe7. The powder XRD pattern is theoretical, not measured: it uses a cell relaxed with GGA-PBE and Cu Kα, 1.54184 Å.
Peak positions follow from Bragg's law for the DFT cell and can differ from measured ones.

Top 10 peaks for 10 to 90 degrees two-theta, most intense first:
- d 4.221, 21.0 deg, rel. 100, (1 1 1)
- d 3.656, 24.3 deg, rel. 53, (2 0 0)
- d 2.204, 40.9 deg, rel. 53, (3 1 1)
- d 2.585, 34.7 deg, rel. 42, (2 2 0)
- d 2.111, 42.8 deg, rel. 37, (2 2 2)
- d 1.677, 54.7 deg, rel. 22, (3 3 1)
- d 1.635, 56.3 deg, rel. 20, (4 2 0)
- d 1.828, 49.9 deg, rel. 17, (4 0 0)
- d 1.407, 66.4 deg, rel. 16, (5 1 1)
- d 1.236, 77.2 deg, rel. 15, (5 3 1)

Structural model:
```
data_YBe7
_chemical_formula_sum 'Y4 Be28'
_cell_length_a 7.311
_cell_length_b 7.311
_cell_length_c 7.311
_cell_angle_alpha 90.00
_cell_angle_beta 90.00
_cell_angle_gamma 90.00
_space_group_name_H-M_alt 'F m -3 m'
_space_group_IT_number 225
_space_group_name_Hall '-F 4 2 3'
loop_
_atom_site_label
_atom_site_fract_x
_atom_site_fract_y
_atom_site_fract_z
Y1 0.000 0.000 0.000
Be1 0.000 0.000 0.500
Be2 0.000 0.250 0.250
```

(6)
Diffraction record for YBe2. The powder XRD pattern is theoretical, not measured: it uses a cell relaxed with GGA-PBE and Cu Kα, 1.54184 Å.
Peak positions follow from Bragg's law for the DFT cell and can differ from measured ones.

Top 10 peaks for 10 to 90 degrees two-theta, most intense first:
- d 2.534, 35.4 deg, rel. 100, (1 1 2)
- d 3.717, 23.9 deg, rel. 94, (1 0 1)
- d 2.934, 30.5 deg, rel. 67, (1 0 3)
- d 3.379, 26.4 deg, rel. 42, (0 0 4)
- d 2.215, 40.7 deg, rel. 37, (1 0 5)
- d 1.933, 47.0 deg, rel. 25, (2 0 0)
- d 1.614, 57.1 deg, rel. 21, (2 1 3)
- d 1.678, 54.7 deg, rel. 21, (2 0 4)
- d 1.738, 52.7 deg, rel. 21, (1 1 6)
- d 1.715, 53.4 deg, rel. 21, (2 1 1)

Structural model:
```
data_YBe2
_chemical_formula_sum 'Y4 Be8'
_cell_length_a 3.866
_cell_length_b 3.866
_cell_length_c 13.516
_cell_angle_alpha 90.00
_cell_angle_beta 90.00
_cell_angle_gamma 90.00
_space_group_name_H-M_alt 'I 41/a m d'
_space_group_IT_number 141
loop_
_space_group_symop_operation_xyz
'x,y,z'
'-x,-y,-z'
'-y+1/4,x+3/4,z+1/4'
'y+1/4,-x+3/4,-z+1/4'
'-x+1/2,-y,z+1/2'
'x+1/2,y,-z+1/2'
'y+1/4,-x+1/4,z+3/4'
'-y+1/4,x+1/4,-z+3/4'
'x,-y,-z'
'-x,y,z'
'-y+1/4,-x+1/4,-z+3/4'
'y+1/4,x+1/4,z+3/4'
'-x+1/2,y,-z+1/2'
'x+1/2,-y,z+1/2'
'y+1/4,x+3/4,-z+1/4'
'-y+1/4,-x+3/4,z+1/4'
'x+1/2,y+1/2,z+1/2'
'-x+1/2,-y+1/2,-z+1/2'
'-y+3/4,x+1/4,z+3/4'
'y+3/4,-x+1/4,-z+3/4'
'-x,-y+1/2,z'
'x,y+1/2,-z'
'y+3/4,-x+3/4,z+1/4'
'-y+3/4,x+3/4,-z+1/4'
'x+1/2,-y+1/2,-z+1/2'
'-x+1/2,y+1/2,z+1/2'
'-y+3/4,-x+3/4,-z+1/4'
'y+3/4,x+3/4,z+1/4'
'-x,y+1/2,-z'
'x,-y+1/2,z'
'y+3/4,x+1/4,-z+3/4'
'-y+3/4,-x+1/4,z+3/4'
loop_
_atom_site_label
_atom_site_fract_x
_atom_site_fract_y
_atom_site_fract_z
Y1 0.000 0.250 0.375
Be1 0.000 0.250 0.791
```

(7)
Diffraction record for Y2Be. The powder XRD pattern is theoretical, not measured: it uses a cell relaxed with GGA-PBE and Cu Kα, 1.54184 Å.
Peak positions follow from Bragg's law for the DFT cell and can differ from measured ones.

Top 10 peaks for 10 to 90 degrees two-theta, most intense first:
- d 2.885, 31.0 deg, rel. 100, (1 1 1)
- d 2.428, 37.0 deg, rel. 29, (2 1 0)
- d 3.709, 24.0 deg, rel. 27, (1 1 0)
- d 2.632, 34.1 deg, rel. 27, (2 0 1)
- d 1.668, 55.0 deg, rel. 18, (2 1 2)
- d 2.296, 39.2 deg, rel. 17, (0 0 2)
- d 2.141, 42.2 deg, rel. 15, (3 0 0)
- d 1.661, 55.3 deg, rel. 15, (3 1 1)
- d 3.736, 23.8 deg, rel. 14, (1 0 1)
- d 1.403, 66.7 deg, rel. 13, (3 2 1)

Structural model:
```
data_Y2Be
_chemical_formula_sum 'Y6 Be3'
_cell_length_a 7.4175
_cell_length_b 7.4175
_cell_length_c 4.5922
_cell_angle_alpha 90.00
_cell_angle_beta 90.00
_cell_angle_gamma 120.00
_space_group_name_H-M_alt 'P -6 2 m'
_space_group_IT_number 189
_space_group_name_Hall 'P -6 -2'
loop_
_atom_site_label
_atom_site_fract_x
_atom_site_fract_y
_atom_site_fract_z
Y1 0.0000 0.2705 0.0000
Y2 0.0000 0.6040 0.5000
Be1 0.0000 0.0000 0.5000
Be2 0.3333 0.6667 0.0000
```

(8)
Diffraction record for Y5Be. The powder XRD pattern is theoretical, not measured: it uses a cell relaxed with GGA-PBE and Cu Kα, 1.54184 Å.
Peak positions follow from Bragg's law for the DFT cell and can differ from measured ones.

Top 10 peaks for 10 to 90 degrees two-theta, most intense first:
- d 2.634, 34.0 deg, rel. 100, (0 0 2)
- d 1.461, 63.7 deg, rel. 25, (3 0 2)
- d 3.040, 29.4 deg, rel. 21, (1 1 0)
- d 3.726, 23.9 deg, rel. 17, (1 0 1)
- d 1.991, 45.6 deg, rel. 16, (1 1 2)
- d 1.521, 60.9 deg, rel. 16, (1 1 3)
- d 1.755, 52.1 deg, rel. 14, (3 0 0)
- d 1.123, 86.7 deg, rel. 9, (4 1 1)
- d 5.269, 16.8 deg, rel. 8, (0 0 1)
- d 1.862, 48.9 deg, rel. 7, (2 0 2)

Structural model:
```
data_Y5Be
_chemical_formula_sum 'Y5 Be1'
_cell_length_a 6.0797
_cell_length_b 6.0797
_cell_length_c 5.2727
_cell_angle_alpha 90.00
_cell_angle_beta 90.00
_cell_angle_gamma 120.00
_space_group_name_H-M_alt 'P -6 2 m'
_space_group_IT_number 189
_space_group_name_Hall 'P -6 -2'
loop_
_atom_site_label
_atom_site_fract_x
_atom_site_fract_y
_atom_site_fract_z
Y1 0.0000 0.6963 0.0000
Y2 0.3333 0.6667 0.5000
Be1 0.0000 0.0000 0.5000
```

(9)
Diffraction record for Y4Be5. The powder XRD pattern is theoretical, not measured: it uses a cell relaxed with GGA-PBE and Cu Kα, 1.54184 Å.
Peak positions follow from Bragg's law for the DFT cell and can differ from measured ones.

Top 10 peaks for 10 to 90 degrees two-theta, most intense first:
- d 3.387, 26.3 deg, rel. 100, (1 1 1)
- d 2.422, 37.1 deg, rel. 54, (1 1 2)
- d 2.369, 38.0 deg, rel. 53, (3 0 0)
- d 3.554, 25.1 deg, rel. 34, (2 0 0)
- d 2.764, 32.4 deg, rel. 18, (1 0 2)
- d 7.108, 12.5 deg, rel. 18, (1 0 0)
- d 1.798, 50.8 deg, rel. 16, (1 1 3)
- d 1.941, 46.8 deg, rel. 15, (2 2 1)
- d 1.647, 55.8 deg, rel. 15, (3 1 2)
- d 2.452, 36.7 deg, rel. 15, (2 1 1)

Structural model:
```
data_Y4Be5
_chemical_formula_sum 'Y8 Be10'
_cell_length_a 8.2076
_cell_length_b 8.2076
_cell_length_c 5.9991
_cell_angle_alpha 90.00
_cell_angle_beta 90.00
_cell_angle_gamma 120.00
_space_group_name_H-M_alt 'P 63/m c m'
_space_group_IT_number 193
_space_group_name_Hall '-P 6c 2'
loop_
_atom_site_label
_atom_site_fract_x
_atom_site_fract_y
_atom_site_fract_z
Y1 0.0000 0.0000 0.0000
Y2 0.0000 0.3701 0.2500
Be1 0.0000 0.3087 0.7500
Be2 0.3333 0.6667 0.0000
```

(10)
Diffraction record for BeZn. The powder XRD pattern is theoretical, not measured: it uses a cell relaxed with GGA-PBE and Cu Kα, 1.54184 Å.
Peak positions follow from Bragg's law for the DFT cell and can differ from measured ones.

Top 10 peaks for 10 to 90 degrees two-theta, most intense first:
- d 2.075, 43.6 deg, rel. 100, (1 1 1)
- d 3.351, 26.6 deg, rel. 81, (2 0 -1)
- d 4.339, 20.5 deg, rel. 77, (0 0 1)
- d 2.455, 36.6 deg, rel. 73, (1 1 0)
- d 1.813, 50.3 deg, rel. 69, (3 1 -1)
- d 2.659, 33.7 deg, rel. 68, (2 0 1)
- d 2.005, 45.2 deg, rel. 65, (4 0 0)
- d 2.121, 42.6 deg, rel. 54, (2 0 -2)
- d 1.685, 54.5 deg, rel. 32, (1 1 -2)
- d 1.749, 52.3 deg, rel. 23, (2 0 2)

Structural model:
```
data_BeZn
_chemical_formula_sum 'Be4 Zn4'
_cell_length_a 8.241
_cell_length_b 2.578
_cell_length_c 4.457
_cell_angle_alpha 90.00
_cell_angle_beta 103.17
_cell_angle_gamma 90.00
_space_group_name_H-M_alt 'C 1 2/m 1'
_space_group_IT_number 12
loop_
_space_group_symop_operation_xyz
'x,y,z'
'-x,-y,-z'
'-x,y,-z'
'x,-y,z'
'x+1/2,y+1/2,z'
'-x+1/2,-y+1/2,-z'
'-x+1/2,y+1/2,-z'
'x+1/2,-y+1/2,z'
loop_
_atom_site_label
_atom_site_fract_x
_atom_site_fract_y
_atom_site_fract_z
Be1 0.138 0.000 0.385
Zn1 0.115 0.500 0.844
```

(11)
Diffraction record for BeZn7. The powder XRD pattern is theoretical, not measured: it uses a cell relaxed with GGA-PBE and Cu Kα, 1.54184 Å.
Peak positions follow from Bragg's law for the DFT cell and can differ from measured ones.

Top 10 peaks for 10 to 90 degrees two-theta, most intense first:
- d 2.216, 40.7 deg, rel. 100, (2 2 2)
- d 1.919, 47.4 deg, rel. 48, (4 0 0)
- d 1.157, 83.6 deg, rel. 33, (6 2 2)
- d 1.357, 69.2 deg, rel. 28, (4 4 0)
- d 4.431, 20.0 deg, rel. 10, (1 1 1)
- d 1.108, 88.2 deg, rel. 10, (4 4 4)
- d 2.314, 38.9 deg, rel. 6, (3 1 1)
- d 3.838, 23.2 deg, rel. 5, (2 0 0)
- d 2.714, 33.0 deg, rel. 4, (2 2 0)
- d 1.761, 51.9 deg, rel. 2, (3 3 1)

Structural model:
```
data_BeZn7
_chemical_formula_sum 'Be4 Zn28'
_cell_length_a 7.675
_cell_length_b 7.675
_cell_length_c 7.675
_cell_angle_alpha 90.00
_cell_angle_beta 90.00
_cell_angle_gamma 90.00
_space_group_name_H-M_alt 'F m -3 m'
_space_group_IT_number 225
_space_group_name_Hall '-F 4 2 3'
loop_
_atom_site_label
_atom_site_fract_x
_atom_site_fract_y
_atom_site_fract_z
Be1 0.000 0.000 0.000
Zn1 0.000 0.000 0.500
Zn2 0.000 0.250 0.250
```

(12)
Diffraction record for Be5Zn3. The powder XRD pattern is theoretical, not measured: it uses a cell relaxed with GGA-PBE and Cu Kα, 1.54184 Å.
Peak positions follow from Bragg's law for the DFT cell and can differ from measured ones.

Top 10 peaks for 10 to 90 degrees two-theta, most intense first:
- d 3.044, 29.3 deg, rel. 100, (1 -1 0)
- d 2.984, 29.9 deg, rel. 68, (1 1 2)
- d 2.893, 30.9 deg, rel. 51, (1 1 -1)
- d 5.050, 17.6 deg, rel. 43, (0 1 1)
- d 1.983, 45.7 deg, rel. 43, (1 3 2)
- d 1.949, 46.6 deg, rel. 38, (1 -1 3)
- d 2.738, 32.7 deg, rel. 36, (0 2 -1)
- d 3.478, 25.6 deg, rel. 34, (0 0 2)
- d 3.164, 28.2 deg, rel. 33, (0 2 0)
- d 2.177, 41.5 deg, rel. 32, (-1 1 2)

Structural model:
```
data_Be5Zn3
_chemical_formula_sum 'Be10 Zn6'
_cell_length_a 4.083
_cell_length_b 6.580
_cell_length_c 7.276
_cell_angle_alpha 78.81
_cell_angle_beta 74.96
_cell_angle_gamma 76.30
_space_group_name_H-M_alt 'P -1'
_space_group_IT_number 2
loop_
_space_group_symop_operation_xyz
'x,y,z'
'-x,-y,-z'
loop_
_atom_site_label
_atom_site_fract_x
_atom_site_fract_y
_atom_site_fract_z
Be1 0.047 0.216 0.195
Be2 0.173 0.879 0.249
Be3 0.250 0.979 0.515
Be4 0.326 0.242 0.632
Be5 0.441 0.294 0.322
Zn1 0.102 0.581 0.117
Zn2 0.181 0.621 0.514
Zn3 0.323 0.968 0.895
```

(13)
Diffraction record for Be3Zn5. The powder XRD pattern is theoretical, not measured: it uses a cell relaxed with GGA-PBE and Cu Kα, 1.54184 Å.
Peak positions follow from Bragg's law for the DFT cell and can differ from measured ones.

Top 10 peaks for 10 to 90 degrees two-theta, most intense first:
- d 2.119, 42.7 deg, rel. 100, (2 2 1)
- d 3.690, 24.1 deg, rel. 30, (2 0 0)
- d 2.589, 34.7 deg, rel. 25, (0 2 1)
- d 1.872, 48.6 deg, rel. 17, (0 4 0)
- d 1.845, 49.4 deg, rel. 15, (4 0 0)
- d 1.791, 51.0 deg, rel. 15, (0 0 2)
- d 2.960, 30.2 deg, rel. 13, (1 1 1)
- d 1.123, 86.7 deg, rel. 12, (2 6 1)
- d 1.294, 73.1 deg, rel. 9, (0 4 2)
- d 1.111, 87.9 deg, rel. 9, (6 2 1)

Structural model:
```
data_Be3Zn5
_chemical_formula_sum 'Be6 Zn10'
_cell_length_a 7.381
_cell_length_b 7.488
_cell_length_c 3.583
_cell_angle_alpha 90.00
_cell_angle_beta 90.00
_cell_angle_gamma 90.00
_space_group_name_H-M_alt 'C m m m'
_space_group_IT_number 65
_space_group_name_Hall '-C 2 2'
loop_
_atom_site_label
_atom_site_fract_x
_atom_site_fract_y
_atom_site_fract_z
Be1 0.000 0.000 0.000
Be2 0.000 0.246 0.500
Zn1 0.000 0.500 0.000
Zn2 0.231 0.000 0.500
Zn3 0.250 0.250 0.000
```

(14)
Diffraction record for Be4Zn5. The powder XRD pattern is theoretical, not measured: it uses a cell relaxed with GGA-PBE and Cu Kα, 1.54184 Å.
Peak positions follow from Bragg's law for the DFT cell and can differ from measured ones.

Top 10 peaks for 10 to 90 degrees two-theta, most intense first:
- d 2.884, 31.0 deg, rel. 100, (1 1 1)
- d 2.071, 43.7 deg, rel. 95, (1 1 2)
- d 2.009, 45.1 deg, rel. 87, (3 0 0)
- d 6.027, 14.7 deg, rel. 28, (1 0 0)
- d 1.442, 64.6 deg, rel. 27, (2 2 2)
- d 1.171, 82.3 deg, rel. 26, (4 1 2)
- d 1.648, 55.8 deg, rel. 17, (2 2 1)
- d 3.013, 29.6 deg, rel. 15, (2 0 0)
- d 1.540, 60.1 deg, rel. 14, (1 1 3)
- d 1.274, 74.5 deg, rel. 13, (4 1 1)

Structural model:
```
data_Be4Zn5
_chemical_formula_sum 'Be8 Zn10'
_cell_length_a 6.9589
_cell_length_b 6.9589
_cell_length_c 5.1534
_cell_angle_alpha 90.00
_cell_angle_beta 90.00
_cell_angle_gamma 120.00
_space_group_name_H-M_alt 'P 63/m c m'
_space_group_IT_number 193
_space_group_name_Hall '-P 6c 2'
loop_
_atom_site_label
_atom_site_fract_x
_atom_site_fract_y
_atom_site_fract_z
Be1 0.0000 0.0000 0.0000
Be2 0.0000 0.3375 0.2500
Zn1 0.0000 0.3174 0.7500
Zn2 0.3333 0.6667 0.0000
```